[1]
The following is a simulated powder X-ray diffraction pattern of Ho3Ni8H. It was derived from a crystal structure in Alexandria, relaxed with GGA-PBE, using CuKα.
Neutral-atom scattering factors, no anomalous dispersion.

Main lines, in order of rising 2θ (2θ from 15° to 90°):
20.90 deg, 4.251 Å, I = 14
27.64 deg, 3.227 Å, I = 19
33.13 deg, 2.704 Å, I = 26
36.03 deg, 2.493 Å, I = 39
36.17 deg, 2.483 Å, I = 28
42.57 deg, 2.124 Å, I = 100
42.72 deg, 2.117 Å, I = 34
44.54 deg, 2.034 Å, I = 29
64.83 deg, 1.438 Å, I = 17
69.21 deg, 1.358 Å, I = 13
69.34 deg, 1.355 Å, I = 29
76.41 deg, 1.246 Å, I = 17

Atomic structure:
Cell: 4.9857 4.9857 24.2870 Å, 90.00 90.00 120.00°
Space group R3m (No. 160, hexagonal axes)
Inequivalent atoms, fractional coordinates:
1 Ho 0.0000 0.0000 0.0000 [3 per cell]
2 Ho 0.0000 0.0000 0.1322 [3 per cell]
3 Ho 0.0000 0.0000 0.6065 [3 per cell]
4 Ni 0.0000 0.0000 0.3098 [3 per cell]
5 Ni 0.0000 0.0000 0.8117 [3 per cell]
6 Ni 0.0064 0.5032 0.5613 [9 per cell]
7 Ni 0.1703 0.3407 0.3936 [9 per cell]
8 H 0.0000 0.0000 0.4278 [3 per cell]

[2]
The following is a simulated powder X-ray diffraction pattern of Ho8Tm3Pu. It was derived from a crystal structure in Alexandria, relaxed with GGA-PBE, using CuKα.
Neutral-atom scattering factors, no anomalous dispersion.

Main lines, in order of rising 2θ (2θ from 15° to 90°):
21.52 deg, 4.129 Å, I = 37
24.59 deg, 3.620 Å, I = 45
26.14 deg, 3.409 Å, I = 26
29.57 deg, 3.021 Å, I = 69
31.64 deg, 2.827 Å, I = 49
33.39 deg, 2.684 Å, I = 31
35.04 deg, 2.561 Å, I = 25
36.87 deg, 2.438 Å, I = 100
43.86 deg, 2.064 Å, I = 37
45.39 deg, 1.998 Å, I = 36
57.35 deg, 1.607 Å, I = 29
59.83 deg, 1.546 Å, I = 33

Atomic structure:
Cell: 8.5440 8.5440 11.3099 Å, 90.00 90.00 90.00°
Space group I-42m (No. 121)
Inequivalent atoms, fractional coordinates:
1 Ho 0.1271 0.1271 0.2679 [8 per cell]
2 Ho 0.2313 0.2313 0.5333 [8 per cell]
3 Tm 0.0000 0.0000 0.0000 [2 per cell]
4 Tm 0.0000 0.5000 0.2500 [4 per cell]
5 Pu 0.0000 0.0000 0.5000 [2 per cell]

[3]
The following is a simulated powder X-ray diffraction pattern of RbMo2H8. It was derived from a crystal structure in Alexandria, relaxed with GGA-PBE, using CuKα.
Neutral-atom scattering factors, no anomalous dispersion.

Main lines, in order of rising 2θ (2θ from 15° to 90°):
25.22 deg, 3.531 Å, I = 100
26.32 deg, 3.386 Å, I = 65
26.42 deg, 3.373 Å, I = 63
29.51 deg, 3.027 Å, I = 61
36.62 deg, 2.454 Å, I = 67
39.08 deg, 2.305 Å, I = 30
47.02 deg, 1.933 Å, I = 18
47.14 deg, 1.928 Å, I = 17
47.65 deg, 1.908 Å, I = 32
47.77 deg, 1.904 Å, I = 30
49.82 deg, 1.830 Å, I = 29
58.76 deg, 1.571 Å, I = 23

Atomic structure:
Cell: 4.6098 8.6954 6.0543 Å, 90.00 90.26 90.00°
Space group Cm (No. 8)
Inequivalent atoms, fractional coordinates:
1 Rb 0.0000 0.0000 0.0000 [2 per cell]
2 Mo 0.0193 0.3233 0.5170 [4 per cell]
3 H 0.0036 0.3155 0.7966 [4 per cell]
4 H 0.0726 0.5000 0.3339 [2 per cell]
5 H 0.1824 0.1750 0.3408 [4 per cell]
6 H 0.4003 0.3653 0.6100 [4 per cell]
7 H 0.4355 0.0000 0.6719 [2 per cell]

[4]
The following is a simulated powder X-ray diffraction pattern of LaZn2GePd2. It was derived from a crystal structure in Alexandria, relaxed with GGA-PBE, using CuKα.
Neutral-atom scattering factors, no anomalous dispersion.

Main lines, in order of rising 2θ (2θ from 15° to 90°):
15.37 deg, 5.765 Å, I = 30
31.05 deg, 2.880 Å, I = 100
36.57 deg, 2.457 Å, I = 78
38.30 deg, 2.350 Å, I = 90
41.48 deg, 2.177 Å, I = 19
50.08 deg, 1.821 Å, I = 21
53.99 deg, 1.698 Å, I = 50
55.26 deg, 1.662 Å, I = 42
64.71 deg, 1.440 Å, I = 19
64.78 deg, 1.439 Å, I = 19
77.72 deg, 1.229 Å, I = 21
81.98 deg, 1.175 Å, I = 17

Atomic structure:
Cell: 4.7000 4.7000 5.7654 Å, 90.00 90.00 90.00°
Space group P4/mmm (No. 123)
Inequivalent atoms, fractional coordinates:
1 La 0.0000 0.0000 0.0000 [1 per cell]
2 Zn 0.5000 0.5000 0.2400 [2 per cell]
3 Ge 0.0000 0.0000 0.5000 [1 per cell]
4 Pd 0.0000 0.5000 0.5000 [2 per cell]

[5]
The following is a simulated powder X-ray diffraction pattern of TbSiAg2S4. It was derived from a crystal structure in Alexandria, relaxed with GGA-PBE, using CuKα.
Neutral-atom scattering factors, no anomalous dispersion.

Main lines, in order of rising 2θ (2θ from 15° to 90°):
16.01 deg, 5.536 Å, I = 15
27.85 deg, 3.203 Å, I = 45
29.37 deg, 3.041 Å, I = 39
32.34 deg, 2.768 Å, I = 53
33.57 deg, 2.669 Å, I = 100
46.22 deg, 1.964 Å, I = 19
47.31 deg, 1.922 Å, I = 68
50.14 deg, 1.820 Å, I = 15
55.71 deg, 1.650 Å, I = 16
57.54 deg, 1.602 Å, I = 18
60.93 deg, 1.520 Å, I = 16
79.76 deg, 1.202 Å, I = 15

Atomic structure:
Cell: 7.2781 7.8558 11.0722 Å, 90.00 90.00 90.00°
Space group Imma (No. 74)
Inequivalent atoms, fractional coordinates:
1 Tb 0.0000 0.0000 0.0000 [4 per cell]
2 Si 0.2500 0.2500 0.2500 [4 per cell]
3 Ag 0.0000 0.0000 0.5000 [4 per cell]
4 Ag 0.2500 0.2500 0.7500 [4 per cell]
5 S 0.0000 0.0296 0.2477 [8 per cell]
6 S 0.2463 0.2500 0.4703 [8 per cell]

[6]
The following is a simulated powder X-ray diffraction pattern of HoEr3Al4. It was derived from a crystal structure in Alexandria, relaxed with GGA-PBE, using CuKα.
Neutral-atom scattering factors, no anomalous dispersion.

Main lines, in order of rising 2θ (2θ from 15° to 90°):
24.94 deg, 3.570 Å, I = 63
35.56 deg, 2.524 Å, I = 100
43.93 deg, 2.061 Å, I = 19
51.13 deg, 1.787 Å, I = 12
51.27 deg, 1.782 Å, I = 6
57.70 deg, 1.598 Å, I = 17
57.82 deg, 1.595 Å, I = 9
63.87 deg, 1.458 Å, I = 37
75.33 deg, 1.262 Å, I = 8
80.78 deg, 1.190 Å, I = 7
86.05 deg, 1.130 Å, I = 11
86.29 deg, 1.127 Å, I = 5

Atomic structure:
Cell: 10.1066 7.1281 5.0533 Å, 90.00 90.00 90.00°
Space group Pmma (No. 51)
Inequivalent atoms, fractional coordinates:
1 Ho 0.0000 0.0000 0.0000 [2 per cell]
2 Er 0.0000 0.5000 0.0000 [2 per cell]
3 Er 0.2500 0.0000 0.4991 [2 per cell]
4 Er 0.2500 0.5000 0.4991 [2 per cell]
5 Al 0.0000 0.2509 0.5000 [4 per cell]
6 Al 0.2500 0.2509 0.9988 [4 per cell]

[7]
The following is a simulated powder X-ray diffraction pattern of La2AlCdPd6. It was derived from a crystal structure in Alexandria, relaxed with GGA-PBE, using CuKα.
Neutral-atom scattering factors, no anomalous dispersion.

Main lines, in order of rising 2θ (2θ from 15° to 90°):
18.14 deg, 4.889 Å, I = 18
21.78 deg, 4.081 Å, I = 48
25.48 deg, 3.495 Å, I = 22
32.92 deg, 2.721 Å, I = 27
36.76 deg, 2.445 Å, I = 74
38.24 deg, 2.354 Å, I = 19
38.98 deg, 2.310 Å, I = 100
40.58 deg, 2.223 Å, I = 27
41.06 deg, 2.198 Å, I = 25
44.61 deg, 2.031 Å, I = 15
46.99 deg, 1.934 Å, I = 28
64.72 deg, 1.440 Å, I = 28

Atomic structure:
Cell: 9.9786 5.7620 8.8174 Å, 90.00 112.22 90.00°
Space group C2/m (No. 12)
Inequivalent atoms, fractional coordinates:
1 La 0.2145 0.0000 0.1427 [4 per cell]
2 Al 0.0000 0.5000 0.0000 [2 per cell]
3 Cd 0.0000 0.0000 0.5000 [2 per cell]
4 Pd 0.0104 0.2450 0.7777 [8 per cell]
5 Pd 0.2444 0.5000 0.2219 [4 per cell]

[8]
The following is a simulated powder X-ray diffraction pattern of Li3SmTl2. It was derived from a crystal structure in Alexandria, relaxed with GGA-PBE, using CuKα.
Neutral-atom scattering factors, no anomalous dispersion.

Main lines, in order of rising 2θ (2θ from 15° to 90°):
21.46 deg, 4.141 Å, I = 38
22.42 deg, 3.966 Å, I = 20
24.97 deg, 3.566 Å, I = 59
27.62 deg, 3.230 Å, I = 22
28.64 deg, 3.117 Å, I = 50
31.23 deg, 2.864 Å, I = 35
35.60 deg, 2.522 Å, I = 33
36.54 deg, 2.459 Å, I = 100
36.92 deg, 2.434 Å, I = 34
38.75 deg, 2.324 Å, I = 32
45.78 deg, 1.982 Å, I = 21
53.63 deg, 1.709 Å, I = 21

Atomic structure:
Cell: 14.6256 4.6481 9.2057 Å, 90.00 120.50 90.00°
Space group C2/m (No. 12)
Inequivalent atoms, fractional coordinates:
1 Li 0.0526 0.0000 0.3948 [4 per cell]
2 Li 0.0925 0.5000 0.6817 [4 per cell]
3 Li 0.2430 0.5000 0.5713 [4 per cell]
4 Sm 0.1325 0.0000 0.0050 [4 per cell]
5 Tl 0.0596 0.5000 0.2099 [4 per cell]
6 Tl 0.2120 0.0000 0.7396 [4 per cell]

[9]
The following is a simulated powder X-ray diffraction pattern of PrY6In3. It was derived from a crystal structure in Alexandria, relaxed with GGA-PBE, using CuKα.
Neutral-atom scattering factors, no anomalous dispersion.

Main lines, in order of rising 2θ (2θ from 15° to 90°):
23.14 deg, 3.844 Å, I = 28
27.01 deg, 3.301 Å, I = 15
30.21 deg, 2.958 Å, I = 100
30.32 deg, 2.948 Å, I = 19
31.73 deg, 2.820 Å, I = 90
33.42 deg, 2.681 Å, I = 45
33.70 deg, 2.660 Å, I = 33
36.11 deg, 2.487 Å, I = 58
39.47 deg, 2.283 Å, I = 23
39.63 deg, 2.274 Å, I = 28
50.30 deg, 1.814 Å, I = 17
66.41 deg, 1.408 Å, I = 14

Atomic structure:
Cell: 11.2519 14.3002 7.9598 Å, 90.00 90.00 90.00°
Space group Cmc2_1 (No. 36)
Inequivalent atoms, fractional coordinates:
1 Pr 0.0000 0.2234 0.0000 [4 per cell]
2 Y 0.0000 0.0311 0.3490 [4 per cell]
3 Y 0.0000 0.2660 0.5031 [4 per cell]
4 Y 0.1887 0.4635 0.4726 [8 per cell]
5 Y 0.2469 0.1887 0.2957 [8 per cell]
6 In 0.0000 0.4226 0.7680 [4 per cell]
7 In 0.1676 0.1149 0.6630 [8 per cell]